For Ba2InPtF, a structure optimized by DFT (GGA-PBE) gives the calculated X-ray powder pattern in this record (Cu Kα, 1.54184 Å).

Top 12 peaks for 2θ from 10° to 90°, in order of rising 2θ:
h k l  2θ/deg  I_rel
1 0 0  14.28  1000
0 0 1  17.43  389
1 1 1  26.84  251
2 0 0  28.80  821
2 1 0  32.28  288
2 0 1  33.86  308
0 0 2  35.29  239
2 2 0  41.18  310
2 0 2  46.16  445
2 1 2  48.57  187
2 2 2  55.32  259
4 2 2  78.58  186

Cell: 6.201 6.201 5.087 Å, 90.00 90.00 90.00°
Element x y z (fractional)
1 Ba 0.000 0.500 0.000
2 Ba 0.500 0.000 0.000
3 In 0.000 0.000 0.500
4 Pt 0.000 0.000 0.000
5 F 0.500 0.500 0.500